(1)
Computed PXRD pattern
Compound: CsZrB2O6
Radiation: CuKα
Structure: the GGA-PBE geometry in Alexandria
No peak broadening, texture or thermal motion is included.

Peak list (12 most intense, 2θ from 10° to 90°, most intense first)
2θ/deg  I_rel  hkl
27.55  1000  2 2 -1
23.19  823  0 0 2
21.64  728  0 2 1
21.03  520  2 0 0
32.94  349  2 2 1
39.43  236  2 2 -3
39.83  211  0 2 3
44.73  203  4 2 -1
33.07  187  1 3 1
25.85  170  2 0 -2
50.93  144  2 2 3
47.41  142  0 0 4

Crystal structure
a = 8.927 Å, b = 9.724 Å, c = 8.104 Å
α = 90.00°, β = 108.83°, γ = 90.00°
Space group C2/c (No. 15)
Unique sites:
Cs  0.000  0.118  0.250 x4
Zr  0.000  0.328  0.750 x4
B  0.196  0.394  0.168 x8
O  0.090  0.335  0.022 x8
O  0.160  0.482  0.726 x8
O  0.165  0.173  0.747 x8

=====

(2)
Computed PXRD pattern
Compound: CsB3P3
Radiation: CuKα
Structure: the GGA-PBE geometry in Alexandria
No peak broadening, texture or thermal motion is included.

Peak list (12 most intense, 2θ from 10° to 90°, most intense first)
2θ/deg  I_rel  hkl
33.00  1000  1 1 3
36.68  865  2 -1 6
27.13  640  0 0 9
18.39  345  1 0 1
19.12  315  0 1 2
63.73  298  3 0 9
49.06  260  1 1 12
56.95  254  2 -1 15
21.79  232  1 0 4
56.46  227  3 0 0
23.60  190  0 1 5
69.23  130  2 2 6

Crystal structure
a = 5.6462 Å, b = 5.6462 Å, c = 29.5866 Å
α = 90.00°, β = 90.00°, γ = 120.00°
Space group R-3 (No. 148, hexagonal axes)
Unique sites:
Cs  0.0000  0.0000  0.1666 x6
B  0.0000  0.3338  0.6038 x18
P  0.0000  0.3331  0.3945 x18

=====

(3)
Computed PXRD pattern
Compound: CsB2P2
Radiation: CuKα
Structure: the GGA-PBE geometry in Alexandria
No peak broadening, texture or thermal motion is included.

Peak list (12 most intense, 2θ from 10° to 90°, most intense first)
2θ/deg  I_rel  hkl
25.32  1000  1 1 2
24.81  929  1 -1 1
19.65  665  1 1 1
31.09  467  0 0 2
44.86  445  1 3 2
27.93  325  0 2 1
31.63  272  0 2 0
32.13  258  2 0 2
31.99  242  2 0 0
32.44  199  0 2 2
39.91  196  2 2 2
54.79  127  1 -3 1

Crystal structure
a = 6.387 Å, b = 6.394 Å, c = 7.231 Å
α = 65.23°, β = 64.05°, γ = 89.99°
Space group P-1 (No. 2)
Unique sites:
Cs  0.236  0.253  0.000 x2
B  0.147  0.348  0.507 x2
B  0.345  0.846  0.509 x2
P  0.161  0.661  0.472 x2
P  0.362  0.157  0.480 x2

=====

(4)
Computed PXRD pattern
Compound: CsBPSe6
Radiation: CuKα
Structure: the GGA-PBE geometry in Alexandria
No peak broadening, texture or thermal motion is included.

Peak list (12 most intense, 2θ from 10° to 90°, most intense first)
2θ/deg  I_rel  hkl
28.56  1000  -1 1 2
28.01  864  1 -1 1
32.58  696  1 2 0
34.40  583  0 0 3
25.77  556  1 1 2
25.89  477  1 1 -1
11.31  440  0 0 1
22.35  408  0 1 2
30.86  362  2 0 0
34.60  320  -1 2 1
27.74  315  1 0 -2
22.08  310  0 1 -1

Crystal structure
a = 5.860 Å, b = 6.311 Å, c = 8.408 Å
α = 68.50°, β = 85.98°, γ = 81.50°
Space group P1 (No. 1)
Unique sites:
Cs  0.000  0.000  0.000 x1
B  0.309  0.552  0.512 x1
P  0.762  0.924  0.497 x1
Se  0.037  0.639  0.658 x1
Se  0.271  0.439  0.323 x1
Se  0.499  0.796  0.344 x1
Se  0.513  0.331  0.718 x1
Se  0.518  0.952  0.729 x1
Se  0.890  0.260  0.346 x1

=====

(5)
Computed PXRD pattern
Compound: Cs2B3Pt4
Radiation: CuKα
Structure: the GGA-PBE geometry in Alexandria
No peak broadening, texture or thermal motion is included.

Peak list (12 most intense, 2θ from 10° to 90°, most intense first)
2θ/deg  I_rel  hkl
13.60  1000  0 0 2
27.40  759  0 0 4
27.81  578  2 0 0
31.23  477  0 4 0
39.44  450  2 0 4
51.14  446  2 4 4
42.02  418  0 4 4
42.30  393  2 4 0
29.33  309  1 2 3
21.89  247  1 2 1
31.08  175  2 0 2
34.20  167  0 4 2

Crystal structure
a = 6.417 Å, b = 11.457 Å, c = 13.020 Å
α = 90.00°, β = 90.00°, γ = 90.00°
Space group Ibam (No. 72)
Unique sites:
Cs  0.232  0.119  0.000 x8
B  0.000  0.227  0.250 x8
B  0.000  0.500  0.250 x4
Pt  0.216  0.365  0.243 x16

=====

(6)
Computed PXRD pattern
Compound: Cs2PuB2S6
Radiation: CuKα
Structure: the GGA-PBE geometry in Alexandria
No peak broadening, texture or thermal motion is included.

Peak list (12 most intense, 2θ from 10° to 90°, most intense first)
2θ/deg  I_rel  hkl
24.74  1000  0 1 5
15.34  663  1 0 1
25.82  661  1 1 0
33.96  555  0 2 4
21.68  515  1 0 4
44.72  394  1 1 9
44.88  302  1 2 5
59.43  242  3 1 5
72.01  229  2 3 5
36.06  222  2 0 5
40.11  217  2 1 1
43.14  214  2 1 4

Crystal structure
a = 6.9017 Å, b = 6.9017 Å, c = 22.5358 Å
α = 90.00°, β = 90.00°, γ = 120.00°
Space group R-3m (No. 166, hexagonal axes)
Unique sites:
Cs  0.0000  0.0000  0.2178 x6
Pu  0.0000  0.0000  0.0000 x3
B  0.0000  0.0000  0.4004 x6
S  0.0292  0.5146  0.2619 x18

=====

(7)
Computed PXRD pattern
Compound: Cs2BRh
Radiation: CuKα
Structure: the GGA-PBE geometry in Alexandria
No peak broadening, texture or thermal motion is included.

Peak list (12 most intense, 2θ from 10° to 90°, most intense first)
2θ/deg  I_rel  hkl
23.20  1000  1 0 1
36.41  884  4 1 1
21.79  717  3 1 0
27.67  678  4 0 0
31.01  443  4 2 0
41.61  430  4 3 1
13.73  380  2 0 0
27.06  343  2 1 1
40.79  342  5 3 0
30.46  270  3 0 1
62.49  241  8 1 1
50.70  235  5 4 1

Crystal structure
a = 12.898 Å, b = 12.898 Å, c = 4.015 Å
α = 90.00°, β = 90.00°, γ = 90.00°
Space group I-42d (No. 122)
Unique sites:
Cs  0.052  0.250  0.125 x8
B  0.000  0.000  0.500 x4
Rh  0.000  0.000  0.000 x4

=====

(8)
Computed PXRD pattern
Compound: Cs8B3S8
Radiation: CuKα
Structure: the GGA-PBE geometry in Alexandria
No peak broadening, texture or thermal motion is included.

Peak list (12 most intense, 2θ from 10° to 90°, most intense first)
2θ/deg  I_rel  hkl
25.86  1000  0 2 0
22.99  474  6 0 0
24.71  435  1 1 2
22.46  369  5 1 -1
28.60  307  4 0 2
29.05  258  8 0 -1
18.32  245  2 0 -2
38.95  234  4 2 2
39.29  222  8 2 -1
20.69  211  4 0 1
28.16  201  4 0 -3
22.57  178  1 1 -2

Crystal structure
a = 24.595 Å, b = 6.886 Å, c = 9.704 Å
α = 90.00°, β = 109.48°, γ = 90.00°
Space group C2/m (No. 12)
Unique sites:
Cs  0.026  0.000  0.248 x4
Cs  0.128  0.500  0.956 x4
Cs  0.175  0.500  0.463 x4
Cs  0.194  0.000  0.781 x4
B  0.000  0.500  0.500 x2
B  0.181  0.000  0.190 x4
S  0.011  0.500  0.337 x4
S  0.115  0.000  0.027 x4
S  0.176  0.000  0.375 x4
S  0.247  0.500  0.836 x4